Entry 1:
For CaTlSeNF, a GGA-PBE-relaxed structure gives the simulated XRD peak list in this record (Cu Kα X-rays).
Intensities are scaled so that the largest is 100.

Top 10 peaks for 15° ≤ 2θ ≤ 90°, sorted by position:
2theta	Rel. int.	index
22.38	18	0 0 4
25.61	29	1 0 1
30.22	100	1 0 3
35.61	47	1 1 0
37.42	13	1 1 2
37.93	28	1 0 5
42.47	13	1 1 4
49.94	17	1 1 6
51.25	16	2 0 0
60.65	28	2 1 3

Atomic structure:
Cell lengths 3.5653, 3.5653, 15.8910 Å; angles 90.00, 90.00, 90.00 degrees
Space group I4mm (No. 107)
One atom of each set of equivalent atoms:
Ca1 0.0000 0.0000 0.0000 x2
Tl1 0.0000 0.0000 0.7175 x2
Se1 0.0000 0.0000 0.3679 x2
N1 0.0000 0.0000 0.4834 x2
F1 0.0000 0.0000 0.1388 x2

***

Entry 2:
For CaTlSeNF, a GGA-PBE-relaxed structure gives the simulated XRD peak list in this record (Cu Kα X-rays).
Intensities are scaled so that the largest is 100.

Top 10 peaks for 15° ≤ 2θ ≤ 90°, sorted by position:
2theta	Rel. int.	index
19.60	46	0 1 0
19.96	44	0 1 1
26.24	100	0 1 -1
27.06	96	0 1 2
29.90	47	1 0 -1
32.78	55	1 1 1
32.96	55	1 -1 0
35.63	60	1 0 2
37.77	46	1 0 -2
38.06	88	0 2 1

Atomic structure:
Cell lengths 3.3879, 4.7333, 7.4255 Å; angles 73.10, 86.72, 89.36 degrees
Space group P1 (No. 1)
One atom of each set of equivalent atoms:
Ca1 0.0000 0.0000 0.0000 x1
Tl1 0.8828 0.7488 0.5156 x1
Se1 0.4610 0.4115 0.2286 x1
N1 0.4692 0.0270 0.2334 x1
F1 0.5225 0.1042 0.8016 x1

***

Which formula does entry 1 have? CaTlSeNF